Starting from a DFT-relaxed cell (GGA-PBE, the Materials Project), the powder diffraction line list of K2S was computed for a wavelength of 1.5418 Å.
Lines closer than 0.1° are merged.

Structure:
```
data_K2S
_cell_length_a 5.3027
_cell_length_b 5.3027
_cell_length_c 7.2939
_cell_angle_alpha 90.00
_cell_angle_beta 90.00
_cell_angle_gamma 120.00
_space_group_name_H-M_alt 'P 63/m m c'
_space_group_IT_number 194
_space_group_name_Hall '-P 6c 2c'
loop_
_atom_site_label
_atom_site_type_symbol
_atom_site_fract_x
_atom_site_fract_y
_atom_site_fract_z
K1 K 0.0000 0.0000 0.0000
K2 K 0.3333 0.6667 0.2500
S1 S 0.3333 0.6667 0.7500
```

Main lines, by angle (10 to 90 degrees two-theta):
2θ 31.32, rel. 100, hkl 1 0 2; 2θ 33.81, rel. 87, hkl 1 1 0; 2θ 46.75, rel. 29, hkl 2 0 2; 2θ 58.93, rel. 26, hkl 2 1 2; 2θ 60.48, rel. 13, hkl 3 0 0; 2θ 61.74, rel. 25, hkl 1 1 4; 2θ 79.75, rel. 10, hkl 3 1 2; 2θ 82.23, rel. 10, hkl 3 0 4

=====

Starting from a DFT-relaxed cell (GGA-PBE, the Materials Project), the powder diffraction line list of KS3 was computed for a wavelength of 1.5418 Å.
Lines closer than 0.1° are merged.

Structure:
```
data_KS3
_cell_length_a 6.5934
_cell_length_b 12.1145
_cell_length_c 12.4036
_cell_angle_alpha 90.00
_cell_angle_beta 107.29
_cell_angle_gamma 90.00
_space_group_name_H-M_alt 'P 1 21/c 1'
_space_group_IT_number 14
loop_
_space_group_symop_operation_xyz
'x,y,z'
'-x,-y,-z'
'-x,y+1/2,-z+1/2'
'x,-y+1/2,z+1/2'
loop_
_atom_site_label
_atom_site_type_symbol
_atom_site_fract_x
_atom_site_fract_y
_atom_site_fract_z
K1 K 0.1932 0.1108 0.4105
K2 K 0.2876 0.6388 0.4773
S1 S 0.0275 0.0822 0.8384
S2 S 0.1159 0.1706 0.7192
S3 S 0.1982 0.1281 0.9996
S4 S 0.2864 0.6103 0.0640
S5 S 0.4301 0.5537 0.2249
S6 S 0.4365 0.1143 0.7280
```

Main lines, by angle (10 to 90 degrees two-theta):
2θ 19.27, rel. 39, hkl 1 1 1; 2θ 26.72, rel. 34, hkl 0 3 2; 2θ 26.96, rel. 75, hkl 0 2 3; 2θ 27.86, rel. 100, hkl 2 0 -2; 2θ 29.30, rel. 51, hkl 1 0 -4; 2θ 29.49, rel. 78, hkl 0 4 0; 2θ 34.08, rel. 27, hkl 2 2 -3; 2θ 41.02, rel. 33, hkl 2 4 -2

=====

Starting from a DFT-relaxed cell (GGA-PBE, the Materials Project), the powder diffraction line list of K2Sn3Sb2S10 was computed for a wavelength of 1.5418 Å.
Lines closer than 0.1° are merged.

Structure:
```
data_K2Sn3Sb2S10
_cell_length_a 6.9135
_cell_length_b 13.5093
_cell_length_c 11.8680
_cell_angle_alpha 90.00
_cell_angle_beta 117.54
_cell_angle_gamma 90.00
_space_group_name_H-M_alt 'P 1 21/c 1'
_space_group_IT_number 14
loop_
_space_group_symop_operation_xyz
'x,y,z'
'-x,-y,-z'
'-x,y+1/2,-z+1/2'
'x,-y+1/2,z+1/2'
loop_
_atom_site_label
_atom_site_type_symbol
_atom_site_fract_x
_atom_site_fract_y
_atom_site_fract_z
K1 K 0.0543 0.1735 0.1727
Sn1 Sn 0.0000 0.0000 0.5000
Sn2 Sn 0.3848 0.0529 0.8460
Sb1 Sb 0.4888 0.1524 0.5910
S1 S 0.0054 0.5491 0.7882
S2 S 0.0907 0.1789 0.4658
S3 S 0.4129 0.0997 0.0592
S4 S 0.4237 0.5240 0.1281
S5 S 0.4501 0.7010 0.6885
```

Main lines, by angle (10 to 90 degrees two-theta):
2θ 13.11, rel. 30, hkl 0 2 0; 2θ 14.48, rel. 100, hkl 1 0 0; 2θ 15.59, rel. 36, hkl 0 2 1; 2θ 23.64, rel. 56, hkl 1 3 -1; 2θ 26.25, rel. 48, hkl 1 2 -3; 2θ 29.15, rel. 49, hkl 2 0 0; 2θ 30.13, rel. 37, hkl 1 0 -4; 2θ 33.02, rel. 31, hkl 1 2 -4

=====

Starting from a DFT-relaxed cell (GGA-PBE, the Materials Project), the powder diffraction line list of KSmS2 was computed for a wavelength of 1.5418 Å.
Lines closer than 0.1° are merged.

Structure:
```
data_KSmS2
_cell_length_a 4.1461
_cell_length_b 4.1461
_cell_length_c 22.1569
_cell_angle_alpha 90.00
_cell_angle_beta 90.00
_cell_angle_gamma 120.00
_space_group_name_H-M_alt 'R -3 m'
_space_group_IT_number 166
_space_group_name_Hall '-R 3 2"'
loop_
_atom_site_label
_atom_site_type_symbol
_atom_site_fract_x
_atom_site_fract_y
_atom_site_fract_z
K1 K 0.0000 0.0000 0.0000
Sm1 Sm 0.0000 0.0000 0.5000
S1 S 0.0000 0.0000 0.2351
```

Main lines, by angle (10 to 90 degrees two-theta):
2θ 11.98, rel. 68, hkl 0 0 3; 2θ 25.13, rel. 24, hkl 1 0 1; 2θ 26.09, rel. 33, hkl 0 1 2; 2θ 29.65, rel. 100, hkl 1 0 4; 2θ 37.89, rel. 18, hkl 1 0 7; 2θ 41.16, rel. 35, hkl 0 1 8; 2θ 43.66, rel. 34, hkl 1 1 0; 2θ 53.67, rel. 17, hkl 0 2 4

=====

Starting from a DFT-relaxed cell (GGA-PBE, the Materials Project), the powder diffraction line list of KSnS4 was computed for a wavelength of 1.5418 Å.
Lines closer than 0.1° are merged.

Structure:
```
data_KSnS4
_cell_length_a 9.7923
_cell_length_b 10.1460
_cell_length_c 14.7966
_cell_angle_alpha 90.00
_cell_angle_beta 111.49
_cell_angle_gamma 90.00
_space_group_name_H-M_alt 'P 1 21/c 1'
_space_group_IT_number 14
loop_
_space_group_symop_operation_xyz
'x,y,z'
'-x,-y,-z'
'-x,y+1/2,-z+1/2'
'x,-y+1/2,z+1/2'
loop_
_atom_site_label
_atom_site_type_symbol
_atom_site_fract_x
_atom_site_fract_y
_atom_site_fract_z
K1 K 0.1256 0.2262 0.0941
K2 K 0.3563 0.6375 0.2030
Sn1 Sn 0.3116 0.0000 0.4056
Sn2 Sn 0.4862 0.6727 0.5166
S1 S 0.0065 0.6428 0.6953
S2 S 0.0387 0.6562 0.2269
S3 S 0.0488 0.0592 0.4032
S4 S 0.2101 0.5661 0.7199
S5 S 0.2450 0.7250 0.9638
S6 S 0.3474 0.2283 0.3341
S7 S 0.4201 0.0414 0.0856
S8 S 0.4354 0.1008 0.5764
```

Main lines, by angle (10 to 90 degrees two-theta):
2θ 12.87, rel. 31, hkl 0 0 2; 2θ 12.97, rel. 100, hkl 1 0 -2; 2θ 16.07, rel. 28, hkl 1 1 1; 2θ 26.26, rel. 34, hkl 1 1 3; 2θ 28.08, rel. 24, hkl 1 3 -1; 2θ 29.47, rel. 23, hkl 1 3 -2; 2θ 32.20, rel. 26, hkl 1 3 -3; 2θ 40.95, rel. 25, hkl 1 2 -6

=====

Starting from a DFT-relaxed cell (GGA-PBE, the Materials Project), the powder diffraction line list of KTaS5 was computed for a wavelength of 1.5418 Å.
Lines closer than 0.1° are merged.

Structure:
```
data_KTaS5
_cell_length_a 15.5928
_cell_length_b 6.4972
_cell_length_c 15.9327
_cell_angle_alpha 90.00
_cell_angle_beta 120.34
_cell_angle_gamma 90.00
_space_group_name_H-M_alt 'P 1 21/c 1'
_space_group_IT_number 14
loop_
_space_group_symop_operation_xyz
'x,y,z'
'-x,-y,-z'
'-x,y+1/2,-z+1/2'
'x,-y+1/2,z+1/2'
loop_
_atom_site_label
_atom_site_type_symbol
_atom_site_fract_x
_atom_site_fract_y
_atom_site_fract_z
K1 K 0.1499 0.1459 0.0855
K2 K 0.3481 0.6420 0.9326
Ta1 Ta 0.0353 0.0539 0.7441
Ta2 Ta 0.4656 0.5818 0.7094
S1 S 0.0416 0.6636 0.3758
S2 S 0.0517 0.6071 0.1090
S3 S 0.1077 0.7177 0.7347
S4 S 0.1233 0.1745 0.3718
S5 S 0.2024 0.2030 0.8093
S6 S 0.2990 0.7370 0.6078
S7 S 0.3765 0.6467 0.2493
S8 S 0.3913 0.2466 0.6285
S9 S 0.4490 0.0825 0.0586
S10 S 0.4591 0.1343 0.3355
```

Main lines, by angle (10 to 90 degrees two-theta):
2θ 12.91, rel. 100, hkl 0 0 2; 2θ 13.16, rel. 52, hkl 2 0 0; 2θ 22.32, rel. 11, hkl 2 0 -4; 2θ 27.56, rel. 9, hkl 4 1 -1; 2θ 32.49, rel. 10, hkl 2 2 -3; 2θ 33.43, rel. 8, hkl 4 1 1; 2θ 33.85, rel. 12, hkl 0 2 3; 2θ 39.79, rel. 11, hkl 6 1 -1